Theoretical XRD peak list of TaNb6Ga for Cu Kα X-rays, from a cell relaxed with GGA-PBE.
No peak broadening, texture or thermal motion is included.

Largest 10 diffraction maxima, low angle first, 2θ from 15° to 90°:
two_theta  I/Imax
16.88  139
34.14  429
38.32  1000
42.14  953
63.89  177
66.61  401
66.68  80
71.91  164
82.04  112
84.52  138

Crystal structure
a = 5.251 Å, b = 5.253 Å, c = 5.253 Å
α = 90.00°, β = 90.10°, γ = 90.00°
Atoms (fractional coordinates):
Ta: 0.000 0.000 0.000
Nb: 0.000 0.248 0.500
Nb: 0.000 0.752 0.500
Nb: 0.247 0.500 0.000
Nb: 0.499 0.000 0.752
Nb: 0.501 0.000 0.248
Nb: 0.753 0.500 0.000
Ga: 0.500 0.500 0.500

=====

Theoretical XRD peak list of Nb2Ga2Tc for Cu Kα X-rays, from a cell relaxed with GGA-PBE.
No peak broadening, texture or thermal motion is included.

Largest 10 diffraction maxima, low angle first, 2θ from 15° to 90°:
two_theta  I/Imax
36.59  362
37.98  110
39.06  1000
42.66  457
50.57  182
62.69  114
68.26  217
77.25  92
81.88  110
87.32  135

Crystal structure
a = 6.702 Å, b = 6.702 Å, c = 3.610 Å
α = 90.00°, β = 90.00°, γ = 90.00°
Atoms (fractional coordinates):
Nb: 0.171 0.329 0.000
Nb: 0.329 0.829 0.000
Nb: 0.671 0.171 0.000
Nb: 0.829 0.671 0.000
Ga: 0.131 0.631 0.500
Ga: 0.369 0.131 0.500
Ga: 0.631 0.869 0.500
Ga: 0.869 0.369 0.500
Tc: 0.000 0.000 0.500
Tc: 0.500 0.500 0.500

=====

Theoretical XRD peak list of Nb4GaTc5 for Cu Kα X-rays, from a cell relaxed with GGA-PBE.
No peak broadening, texture or thermal motion is included.

Largest 10 diffraction maxima, low angle first, 2θ from 15° to 90°:
two_theta  I/Imax
36.31  18
39.83  535
40.37  1000
57.60  177
59.24  72
68.15  11
72.68  336
73.77  148
85.88  56
87.29  96

Crystal structure
a = 3.201 Å, b = 3.201 Å, c = 15.598 Å
α = 90.00°, β = 90.00°, γ = 90.00°
Atoms (fractional coordinates):
Nb: 0.000 0.000 0.103
Nb: 0.000 0.000 0.310
Nb: 0.000 0.000 0.690
Nb: 0.000 0.000 0.897
Ga: 0.000 0.000 0.500
Tc: 0.500 0.500 0.000
Tc: 0.500 0.500 0.203
Tc: 0.500 0.500 0.405
Tc: 0.500 0.500 0.595
Tc: 0.500 0.500 0.797

=====

Theoretical XRD peak list of NbGa3Tc for Cu Kα X-rays, from a cell relaxed with GGA-PBE.
No peak broadening, texture or thermal motion is included.

Largest 10 diffraction maxima, low angle first, 2θ from 15° to 90°:
two_theta  I/Imax
21.93  375
31.98  789
35.25  366
37.80  1000
38.04  414
40.00  532
41.50  469
42.61  663
44.71  808
47.41  413

Crystal structure
a = 6.700 Å, b = 7.671 Å, c = 6.808 Å
α = 90.00°, β = 90.00°, γ = 90.00°
Atoms (fractional coordinates):
Nb: 0.214 0.250 0.093
Nb: 0.286 0.750 0.593
Nb: 0.714 0.250 0.407
Nb: 0.786 0.750 0.907
Ga: 0.012 0.750 0.253
Ga: 0.142 0.548 0.876
Ga: 0.142 0.952 0.876
Ga: 0.358 0.048 0.376
Ga: 0.358 0.452 0.376
Ga: 0.488 0.250 0.753
Ga: 0.512 0.750 0.247
Ga: 0.642 0.548 0.624
Ga: 0.642 0.952 0.624
Ga: 0.858 0.048 0.124
Ga: 0.858 0.452 0.124
Ga: 0.988 0.250 0.747
Tc: 0.000 0.000 0.500
Tc: 0.000 0.500 0.500
Tc: 0.500 0.000 0.000
Tc: 0.500 0.500 0.000

=====

Theoretical XRD peak list of Ti6NbGa3 for Cu Kα X-rays, from a cell relaxed with GGA-PBE.
No peak broadening, texture or thermal motion is included.

Largest 10 diffraction maxima, low angle first, 2θ from 15° to 90°:
two_theta  I/Imax
17.60  128
27.63  169
37.31  170
38.95  340
39.15  772
39.69  1000
50.41  114
57.05  146
75.93  109
77.64  100

Crystal structure
a = 7.245 Å, b = 7.245 Å, c = 6.457 Å
α = 90.00°, β = 90.00°, γ = 91.83°
Atoms (fractional coordinates):
Ti: 0.005 0.499 0.750
Ti: 0.168 0.832 0.515
Ti: 0.168 0.832 0.985
Ti: 0.332 0.332 0.000
Ti: 0.332 0.332 0.500
Ti: 0.499 0.005 0.250
Ti: 0.501 0.995 0.750
Ti: 0.668 0.668 0.000
Ti: 0.668 0.668 0.500
Ti: 0.832 0.168 0.015
Ti: 0.832 0.168 0.485
Ti: 0.995 0.501 0.250
Nb: 0.358 0.642 0.250
Nb: 0.642 0.358 0.750
Ga: 0.124 0.134 0.750
Ga: 0.134 0.124 0.250
Ga: 0.372 0.628 0.750
Ga: 0.628 0.372 0.250
Ga: 0.866 0.876 0.750
Ga: 0.876 0.866 0.250

=====

Theoretical XRD peak list of Ti5NbGa3 for Cu Kα X-rays, from a cell relaxed with GGA-PBE.
No peak broadening, texture or thermal motion is included.

Largest 10 diffraction maxima, low angle first, 2θ from 15° to 90°:
two_theta  I/Imax
27.94  73
39.61  1000
40.23  862
52.38  83
57.73  280
68.92  59
71.86  155
72.29  274
82.52  209
85.31  96

Crystal structure
a = 7.882 Å, b = 7.882 Å, c = 5.450 Å
α = 90.00°, β = 90.00°, γ = 120.00°
Atoms (fractional coordinates):
Ti: 0.000 0.332 0.250
Ti: 0.000 0.668 0.750
Ti: 0.332 0.000 0.250
Ti: 0.332 0.332 0.750
Ti: 0.333 0.667 0.000
Ti: 0.333 0.667 0.500
Ti: 0.667 0.333 0.000
Ti: 0.667 0.333 0.500
Ti: 0.668 0.000 0.750
Ti: 0.668 0.668 0.250
Nb: 0.000 0.000 0.000
Nb: 0.000 0.000 0.500
Ga: 0.000 0.336 0.750
Ga: 0.000 0.664 0.250
Ga: 0.336 0.000 0.750
Ga: 0.336 0.336 0.250
Ga: 0.664 0.000 0.250
Ga: 0.664 0.664 0.750

=====

> What is the formula in the sixth record?

Ti5NbGa3